[1]
Starting from DFT lattice parameters and positions (PBE), the PXRD pattern of Cr3N2 was simulated for Cu Kα X-rays.

Crystal structure
```
5
Lattice="3.1436 0.0000 0.0000 -1.5718 2.7225 0.0000 0.0000 0.0000 5.7527" Properties=species:S:1:pos:R:3 pbc="T T T"
Cr 0.0000 0.0000 0.0000
Cr 0.0000 1.8150 3.8071
Cr 1.5718 0.9075 1.9457
N 0.0000 1.8150 1.4697
N 1.5718 0.9075 4.2830
```

The 11 most intense peaks (10 to 80 degrees two-theta), most intense first:
Position (°2θ), I_rel, hkl
36.51, 100, 1 0 1
45.90, 73, 0 1 2
58.74, 37, 1 1 0
78.72, 22, 1 1 3
47.41, 20, 0 0 3
77.59, 13, 2 0 2
71.18, 12, 0 2 1
74.64, 11, 1 0 4
58.91, 2, 0 1 3
31.09, 1, 0 0 2
32.90, 1, 1 0 0


[2]
Starting from DFT lattice parameters and positions (PBE), the PXRD pattern of Cr3N2 was simulated for Cu Kα X-rays.

Crystal structure
```
20
Lattice="7.4167 0.0000 0.0000 0.0000 4.7760 0.0000 0.0000 0.0000 5.1785" Properties=species:S:1:pos:R:3 pbc="T T T"
Cr 0.0000 0.3304 1.2946
Cr 0.0000 4.4456 3.8839
Cr 1.2202 1.8533 3.1210
Cr 1.2202 2.9226 0.5317
Cr 2.4881 0.5346 0.5317
Cr 2.4881 4.2413 3.1210
Cr 3.7084 2.0576 3.8839
Cr 3.7084 2.7184 1.2946
Cr 4.9286 0.5346 2.0575
Cr 4.9286 4.2413 4.6468
Cr 6.1965 1.8533 4.6468
Cr 6.1965 2.9226 2.0575
N 0.7992 1.1995 4.9351
N 0.7992 3.5765 2.3459
N 2.9092 1.1885 2.3459
N 2.9092 3.5875 4.9351
N 4.5075 1.1885 0.2434
N 4.5075 3.5875 2.8327
N 6.6176 1.1995 2.8327
N 6.6176 3.5765 0.2434
```

The 12 most intense peaks (10 to 80 degrees two-theta), most intense first:
Position (°2θ), I_rel, hkl
41.11, 100, 3 1 0
41.65, 62, 0 2 1
36.77, 52, 1 0 2
43.48, 52, 1 2 1
41.50, 42, 1 1 2
44.84, 41, 3 1 1
46.83, 37, 2 1 2
58.16, 24, 1 1 3
42.59, 21, 2 0 2
73.01, 20, 3 3 1
66.41, 17, 2 3 1
72.17, 14, 2 2 3